For Lu2Fe2B4Ir3, the GGA-PBE geometry in OQMD gives the calculated powder diffractogram in this record (CuKα).
Peak positions follow from Bragg's law for the DFT cell and can differ from measured ones.

Principal peaks in the range 2θ from 15° to 90°, low angle first:
d 3.631, intensity 50, hkl 0 2 2; d 2.940, intensity 81, hkl 1 1 3; d 2.439, intensity 43, hkl 0 2 4; d 2.355, intensity 52, hkl 0 4 0; d 2.321, intensity 100, hkl 2 2 0; d 2.204, intensity 42, hkl 1 3 3; d 1.947, intensity 25, hkl 2 0 4; d 1.501, intensity 19, hkl 2 4 4; d 1.353, intensity 20, hkl 2 6 0; d 1.214, intensity 23, hkl 2 2 8

Atomic structure:
```
data_Lu2Fe2B4Ir3
_space_group_name_H-M_alt 'F m m m'
_space_group_IT_number 69
_space_group_name_Hall '-F 2 2'
_cell_length_a 5.3335
_cell_length_b 9.4217
_cell_length_c 11.4013
_cell_angle_alpha 90.00
_cell_angle_beta 90.00
_cell_angle_gamma 90.00
loop_
_atom_site_label
_atom_site_type_symbol
_atom_site_fract_x
_atom_site_fract_y
_atom_site_fract_z
Lu1 Lu 0.0000 0.0000 0.1365
Fe1 Fe 0.2500 0.2500 0.0000
B1 B 0.0000 0.1657 0.3754
Ir1 Ir 0.0000 0.0000 0.5000
Ir2 Ir 0.2500 0.2500 0.2500
```